Zn2Cu9O13: theoretical powder X-ray diffraction pattern (Cu Kα (weighted mean of Kα1 and Kα2)), based on a structure optimized by DFT (PBE).
Peak positions follow from Bragg's law for the DFT cell and can differ from measured ones.

Structural model:
a = 5.1434 Å, b = 5.1434 Å, c = 16.3295 Å
α = 97.94°, β = 97.94°, γ = 33.15°
Fractional positions:
Zn  0.2204  0.2204  0.2257
Zn  0.7796  0.7796  0.7743
Cu  0.0026  0.0026  0.6688
Cu  0.0614  0.0614  0.8775
Cu  0.2466  0.2466  0.5822
Cu  0.3510  0.3510  0.9588
Cu  0.5000  0.5000  0.5000
Cu  0.6490  0.6490  0.0412
Cu  0.7534  0.7534  0.4178
Cu  0.9386  0.9386  0.1225
Cu  0.9974  0.9974  0.3312
O  0.0000  0.0000  0.0000
O  0.1356  0.1356  0.4719
O  0.1380  0.1380  0.7739
O  0.3045  0.3045  0.0701
O  0.3669  0.3669  0.6847
O  0.3991  0.3991  0.3873
O  0.4129  0.4129  0.8542
O  0.5871  0.5871  0.1458
O  0.6009  0.6009  0.6127
O  0.6331  0.6331  0.3153
O  0.6955  0.6955  0.9299
O  0.8620  0.8620  0.2261
O  0.8644  0.8644  0.5281

Top 8 peaks for 10 to 90 degrees two-theta, by angle:
2θ (°)  I/Imax
35.4  1000
35.7  722
36.5  415
36.7  399
42.4  415
43.3  650
44.1  398
63.4  459

CsCo2HgCl8: theoretical powder X-ray diffraction pattern (Cu Kα (weighted mean of Kα1 and Kα2)), based on a structure optimized by DFT (PBE).
Peak positions follow from Bragg's law for the DFT cell and can differ from measured ones.

Structural model:
a = 10.4757 Å, b = 10.4757 Å, c = 10.4757 Å
α = 36.25°, β = 36.25°, γ = 36.25°
Fractional positions:
Cs  0.0000  0.0000  0.0000
Co  0.2446  0.2446  0.2446
Co  0.7554  0.7554  0.7554
Hg  0.5000  0.5000  0.5000
Cl  0.1014  0.4526  0.7812
Cl  0.2188  0.8986  0.5474
Cl  0.3190  0.3190  0.3190
Cl  0.4526  0.7812  0.1014
Cl  0.5474  0.2188  0.8986
Cl  0.6810  0.6810  0.6810
Cl  0.7812  0.1014  0.4526
Cl  0.8986  0.5474  0.2188

Top 8 peaks for 10 to 90 degrees two-theta, by angle:
2θ (°)  I/Imax
19.8  1000
27.4  450
29.0  292
33.0  367
34.0  247
44.2  243
46.4  336
48.4  248

NdAlPd3: theoretical powder X-ray diffraction pattern (Cu Kα (weighted mean of Kα1 and Kα2)), based on a structure optimized by DFT (PBE).
Peak positions follow from Bragg's law for the DFT cell and can differ from measured ones.

Structural model:
a = 5.9516 Å, b = 5.9516 Å, c = 5.4632 Å
α = 90.00°, β = 90.00°, γ = 90.00°
Fractional positions:
Nd  0.2500  0.7500  0.0000
Nd  0.7500  0.2500  0.0000
Al  0.2500  0.2500  0.2627
Al  0.7500  0.7500  0.7373
Pd  0.0000  0.0000  0.5000
Pd  0.0000  0.5000  0.5000
Pd  0.2500  0.2500  0.8282
Pd  0.5000  0.0000  0.5000
Pd  0.5000  0.5000  0.5000
Pd  0.7500  0.7500  0.1718

Top 8 peaks for 10 to 90 degrees two-theta, by angle:
2θ (°)  I/Imax
32.8  126
34.3  1000
39.3  218
43.0  389
55.1  114
59.7  127
62.4  127
73.2  214

Dy16Er6Tm7: theoretical powder X-ray diffraction pattern (Cu Kα (weighted mean of Kα1 and Kα2)), based on a structure optimized by DFT (PBE).
Peak positions follow from Bragg's law for the DFT cell and can differ from measured ones.

Structural model:
a = 10.9921 Å, b = 10.9921 Å, c = 10.9921 Å
α = 60.00°, β = 60.00°, γ = 60.00°
Fractional positions:
Dy  0.0461  0.6513  0.6513
Dy  0.1224  0.1224  0.1224
Dy  0.1224  0.1224  0.6330
Dy  0.1224  0.6330  0.1224
Dy  0.3487  0.3487  0.3487
Dy  0.3487  0.3487  0.9539
Dy  0.3487  0.9539  0.3487
Dy  0.3670  0.8776  0.8776
Dy  0.6330  0.1224  0.1224
Dy  0.6513  0.0461  0.6513
Dy  0.6513  0.6513  0.0461
Dy  0.6513  0.6513  0.6513
Dy  0.8776  0.3670  0.8776
Dy  0.8776  0.8776  0.3670
Dy  0.8776  0.8776  0.8776
Dy  0.9539  0.3487  0.3487
Er  0.2765  0.2765  0.7235
Er  0.2765  0.7235  0.2765
Er  0.2765  0.7235  0.7235
Er  0.7235  0.2765  0.2765
Er  0.7235  0.2765  0.7235
Er  0.7235  0.7235  0.2765
Tm  0.0000  0.0000  0.0000
Tm  0.0000  0.0000  0.5000
Tm  0.0000  0.5000  0.0000
Tm  0.0000  0.5000  0.5000
Tm  0.5000  0.0000  0.0000
Tm  0.5000  0.0000  0.5000
Tm  0.5000  0.5000  0.0000

Top 8 peaks for 10 to 90 degrees two-theta, by angle:
2θ (°)  I/Imax
28.1  72
29.9  171
32.6  1000
44.8  95
46.7  134
58.1  240
61.7  93
68.3  64

Pm6PrNd: theoretical powder X-ray diffraction pattern (Cu Kα (weighted mean of Kα1 and Kα2)), based on a structure optimized by DFT (PBE).
Peak positions follow from Bragg's law for the DFT cell and can differ from measured ones.

Structural model:
a = 5.1750 Å, b = 5.1750 Å, c = 10.3490 Å
α = 90.00°, β = 90.00°, γ = 90.00°
Fractional positions:
Pm  0.0000  0.0000  0.0000
Pm  0.0000  0.0000  0.5000
Pm  0.0000  0.5000  0.2495
Pm  0.0000  0.5000  0.7505
Pm  0.5000  0.0000  0.2495
Pm  0.5000  0.0000  0.7505
Pr  0.5000  0.5000  0.5000
Nd  0.5000  0.5000  0.0000

Top 8 peaks for 10 to 90 degrees two-theta, by angle:
2θ (°)  I/Imax
29.9  1000
34.7  507
49.8  363
59.2  433
62.1  125
73.2  58
81.0  176
83.6  164

Sm3Mg2In: theoretical powder X-ray diffraction pattern (Cu Kα (weighted mean of Kα1 and Kα2)), based on a structure optimized by DFT (PBE).
Peak positions follow from Bragg's law for the DFT cell and can differ from measured ones.

Structural model:
a = 5.4230 Å, b = 5.4230 Å, c = 13.3122 Å
α = 90.00°, β = 90.00°, γ = 120.00°
Fractional positions:
Sm  0.0000  0.0000  0.2499
Sm  0.0000  0.0000  0.7501
Sm  0.3333  0.6667  0.4152
Sm  0.3333  0.6667  0.9155
Sm  0.6667  0.3333  0.0845
Sm  0.6667  0.3333  0.5848
Mg  0.0000  0.0000  0.0000
Mg  0.0000  0.0000  0.5000
Mg  0.3333  0.6667  0.6620
Mg  0.6667  0.3333  0.3380
In  0.3333  0.6667  0.1651
In  0.6667  0.3333  0.8349

Top 8 peaks for 10 to 90 degrees two-theta, by angle:
2θ (°)  I/Imax
23.2  256
33.0  1000
40.7  79
47.4  181
53.4  110
58.9  282
59.0  93
78.9  160